Structure and theoretical PXRD pattern of CePm3Sm2As6 (a cell relaxed with GGA-PBE; λ = 1.5418 Å (Cu Kα)).

Largest 8 diffraction maxima, in order of rising 2θ, 5 to 70 degrees two-theta:
d (Å), I_rel, h k l
3.450, 18, 3 1 0
2.988, 100, 6 0 0
2.113, 75, 5 1 2
1.802, 9, 9 1 0
1.725, 26, 6 2 0
1.495, 8, 2 2 -4
1.493, 4, 12 0 0
1.371, 4, 0 0 6

Structural model:
a b c (Å): 18.4026 4.2287 8.4550
angles (deg): 90.00 103.29 90.00
Space group C2/m (No. 12)
Asymmetric unit:
Ce (0.0000, 0.0000, 0.0000) (multiplicity 2)
Pm (0.0000, 0.0000, 0.5000) (multiplicity 2)
Pm (0.1676, 0.5000, 0.8324) (multiplicity 4)
Sm (0.1673, 0.5000, 0.3350) (multiplicity 4)
As (0.0002, 0.5000, 0.2467) (multiplicity 4)
As (0.1650, 0.0000, 0.0832) (multiplicity 4)
As (0.1669, 0.0000, 0.5827) (multiplicity 4)


Structure and theoretical PXRD pattern of Nd3Cd2Rh (a cell relaxed with GGA-PBE; λ = 1.5418 Å (Cu Kα)).

Largest 10 diffraction maxima, in order of rising 2θ, 5 to 70 degrees two-theta:
d (Å), I_rel, h k l
2.669, 100, 1 2 1
2.630, 24, 0 0 3
2.612, 25, 2 0 -1
2.108, 2, 1 3 1
1.923, 8, 0 4 0
1.853, 17, 2 0 2
1.552, 7, 0 4 3
1.548, 8, 2 4 -1
1.526, 15, 1 2 4
1.519, 17, 3 2 0

Structural model:
a b c (Å): 5.2236 7.6907 8.3075
angles (deg): 90.00 108.26 90.00
Space group P2/m (No. 10)
Asymmetric unit:
Nd (0.0000, 0.2363, 0.0000) (multiplicity 2)
Nd (0.3249, 0.2227, 0.6505) (multiplicity 4)
Cd (0.1663, 0.5000, 0.3312) (multiplicity 2)
Cd (0.5000, 0.0000, 0.0000) (multiplicity 1)
Cd (0.5000, 0.5000, 0.0000) (multiplicity 1)
Rh (0.1528, 0.0000, 0.2990) (multiplicity 2)


Structure and theoretical PXRD pattern of La6TbTm5 (a cell relaxed with GGA-PBE; λ = 1.5418 Å (Cu Kα)).

Largest 10 diffraction maxima, in order of rising 2θ, 5 to 70 degrees two-theta:
d (Å), I_rel, h k l
2.956, 100, 1 2 1
2.624, 36, 1 2 -2
2.446, 15, 2 0 2
1.858, 7, 0 4 0
1.790, 12, 1 2 4
1.789, 12, 3 2 0
1.573, 8, 0 4 3
1.571, 23, 3 2 -3
1.493, 13, 4 0 1
1.479, 9, 2 4 2

Structural model:
a b c (Å): 6.1344 7.4309 8.8849
angles (deg): 90.00 93.70 90.00
Space group P2/m (No. 10)
Asymmetric unit:
La (0.0000, 0.2492, 0.0000) (multiplicity 2)
La (0.3322, 0.2495, 0.6658) (multiplicity 4)
Tb (0.5000, 0.5000, 0.0000) (multiplicity 1)
Tm (0.1668, 0.5000, 0.3335) (multiplicity 2)
Tm (0.1677, 0.0000, 0.3331) (multiplicity 2)
Tm (0.5000, 0.0000, 0.0000) (multiplicity 1)


Structure and theoretical PXRD pattern of Tc4Pb5 (a cell relaxed with GGA-PBE; λ = 1.5418 Å (Cu Kα)).

Largest 10 diffraction maxima, in order of rising 2θ, 5 to 70 degrees two-theta:
d (Å), I_rel, h k l
3.227, 15, 2 2 0
3.159, 16, 2 1 1
2.597, 100, 3 0 1
2.495, 26, 0 0 2
2.151, 25, 3 3 0
1.974, 8, 2 2 2
1.629, 21, 3 3 2
1.605, 16, 5 2 1
1.521, 7, 6 0 0
1.459, 17, 3 0 3

Structural model:
a b c (Å): 9.1260 9.1260 4.9891
angles (deg): 90.00 90.00 90.00
Space group I4/mmm (No. 139)
Asymmetric unit:
Tc (0.0000, 0.3802, 0.0000) (multiplicity 8)
Pb (0.0000, 0.0000, 0.0000) (multiplicity 2)
Pb (0.1785, 0.1785, 0.5000) (multiplicity 8)


Structure and theoretical PXRD pattern of SrAc4Er (a cell relaxed with GGA-PBE; λ = 1.5418 Å (Cu Kα)).

Largest 10 diffraction maxima, in order of rising 2θ, 5 to 70 degrees two-theta:
d (Å), I_rel, h k l
16.413, 23, 0 0 1
3.226, 100, 1 0 3
2.862, 13, 1 0 4
2.825, 40, 1 1 0
2.736, 11, 0 0 6
1.997, 15, 2 0 0
1.965, 17, 1 1 6
1.804, 8, 1 1 7
1.698, 32, 2 1 3
1.613, 9, 2 0 6

Structural model:
a b c (Å): 3.9950 3.9950 16.4135
angles (deg): 90.00 90.00 90.00
Space group P4/mmm (No. 123)
Asymmetric unit:
Sr (0.0000, 0.0000, 0.0000) (multiplicity 1)
Ac (0.0000, 0.0000, 0.3524) (multiplicity 2)
Ac (0.5000, 0.5000, 0.1882) (multiplicity 2)
Er (0.5000, 0.5000, 0.5000) (multiplicity 1)


Structure and theoretical PXRD pattern of MoPdPt3 (a cell relaxed with GGA-PBE; λ = 1.5418 Å (Cu Kα)).

Largest 10 diffraction maxima, in order of rising 2θ, 5 to 70 degrees two-theta:
d (Å), I_rel, h k l
2.812, 49, 2 0 1
2.405, 96, 1 2 2
2.333, 47, 2 2 0
2.316, 100, 0 3 1
2.228, 67, 2 2 1
2.209, 89, 1 1 3
2.163, 39, 1 3 1
1.956, 40, 1 2 3
1.952, 38, 3 0 1
1.898, 30, 2 3 0

Structural model:
a b c (Å): 6.0648 7.3012 7.5222
angles (deg): 90.00 90.00 90.00
Space group Pnma (No. 62)
Asymmetric unit:
Mo (0.0000, 0.0000, 0.0000) (multiplicity 4)
Pd (0.2029, 0.2500, 0.3435) (multiplicity 4)
Pt (0.1295, 0.0610, 0.6719) (multiplicity 8)
Pt (0.2137, 0.7500, 0.4696) (multiplicity 4)


Structure and theoretical PXRD pattern of InGaSn2H (a cell relaxed with GGA-PBE; λ = 1.5418 Å (Cu Kα)).

Largest 10 diffraction maxima, in order of rising 2θ, 5 to 70 degrees two-theta:
d (Å), I_rel, h k l
4.728, 2, 1 0 0
3.382, 2, 1 0 1
2.751, 100, 1 1 1
2.419, 18, 0 0 2
2.364, 33, 2 0 0
1.691, 24, 2 0 2
1.672, 11, 2 2 0
1.453, 14, 1 1 3
1.429, 27, 3 1 1
1.375, 12, 2 2 2

Structural model:
a b c (Å): 4.7284 4.7284 4.8383
angles (deg): 90.00 90.00 90.00
Space group P4/mmm (No. 123)
Asymmetric unit:
In (0.0000, 0.0000, 0.0000) (multiplicity 1)
Ga (0.5000, 0.5000, 0.0000) (multiplicity 1)
Sn (0.0000, 0.5000, 0.5000) (multiplicity 2)
H (0.0000, 0.0000, 0.5000) (multiplicity 1)


Structure and theoretical PXRD pattern of KInGeS4 (a cell relaxed with GGA-PBE; λ = 1.5418 Å (Cu Kα)).

Largest 10 diffraction maxima, in order of rising 2θ, 5 to 70 degrees two-theta:
d (Å), I_rel, h k l
7.102, 100, 1 1 0
4.299, 74, 2 0 0
3.793, 20, 0 0 2
3.774, 55, 1 3 0
3.346, 95, 1 1 2
2.422, 38, 0 4 2
2.367, 29, 3 3 0
2.111, 81, 2 4 2
1.608, 21, 4 4 2
1.480, 19, 2 8 0

Structural model:
a b c (Å): 8.5970 12.6021 7.5860
angles (deg): 90.00 90.00 90.00
Space group Cmcm (No. 63)
Asymmetric unit:
K (0.0000, 0.0000, 0.0000) (multiplicity 4)
In (0.0000, 0.3737, 0.2500) (multiplicity 4)
Ge (0.0000, 0.3675, 0.7500) (multiplicity 4)
S (0.0000, 0.2577, 0.5171) (multiplicity 8)
S (0.2011, 0.4814, 0.7500) (multiplicity 8)


Structure and theoretical PXRD pattern of Tb6Th (a cell relaxed with GGA-PBE; λ = 1.5418 Å (Cu Kα)).

Largest 10 diffraction maxima, in order of rising 2θ, 5 to 70 degrees two-theta:
d (Å), I_rel, h k l
5.627, 6, 1 1 0
3.979, 41, 2 0 0
3.249, 100, 2 1 1
2.297, 23, 2 2 2
2.127, 63, 3 2 1
1.989, 30, 4 0 0
1.779, 18, 4 2 0
1.696, 16, 3 3 2
1.453, 19, 5 2 1
1.407, 20, 4 4 0

Structural model:
a b c (Å): 7.9573 7.9573 7.9573
angles (deg): 90.00 90.00 90.00
Space group Im-3m (No. 229)
Asymmetric unit:
Tb (0.0000, 0.2500, 0.5000) (multiplicity 12)
Th (0.0000, 0.0000, 0.0000) (multiplicity 2)